Record 1
The following is a computed X-ray powder pattern of KFeSn3O8. It was derived from the PBE+U geometry in the Materials Project, using Cu Kα X-rays.
Lines closer than 0.1° are merged.

Main lines, sorted by position (2θ = 10–90°):
2theta  I/Imax
11.76  68
16.78  84
26.56  63
26.78  94
33.70  88
33.82  100
45.19  55
51.91  39
54.63  42
55.03  48

```
KFeSn3O8
1.0
7.4242 -1.6046 0.0000
7.4242 1.6046 0.0000
-7.4183 0.0000 7.5228
K Fe Sn O
1 1 3 8
Direct
0.0000 0.0000 0.0000
0.1497 0.1497 0.8165
0.3394 0.3394 0.4940
0.6629 0.6629 0.5223
0.8414 0.8414 0.1716
0.0389 0.0389 0.3750
0.2983 0.2983 0.6508
0.3338 0.3338 0.2939
0.3473 0.3473 0.0484
0.6500 0.6500 0.9481
0.6636 0.6636 0.7127
0.7026 0.7026 0.3623
0.9602 0.9602 0.6290
```



Record 2
The following is a computed X-ray powder pattern of KTbFe4O12. It was derived from the PBE+U geometry in the Materials Project, using Cu Kα X-rays.
Lines closer than 0.1° are merged.

Main lines, sorted by position (2θ = 10–90°):
2theta  I/Imax
11.61  35
16.35  32
20.10  100
33.07  94
33.21  48
39.13  35
47.27  23
47.61  23
47.74  21
59.25  37

```
KTbFe4O12
1.0
7.6199 0.0000 0.0000
0.0000 3.8202 3.8459
0.0000 -3.8202 3.8459
K Tb Fe O
1 1 4 12
Direct
0.0000 0.0000 0.0000
0.5000 0.5196 0.5196
0.2480 0.0077 0.5035
0.2480 0.5035 0.0077
0.7520 0.0077 0.5035
0.7520 0.5035 0.0077
0.0000 0.0216 0.4950
0.0000 0.4950 0.0216
0.2512 0.7347 0.7347
0.2726 0.2593 0.7491
0.2726 0.7491 0.2593
0.2888 0.2763 0.2763
0.5000 0.5214 0.9663
0.5000 0.9663 0.5214
0.7112 0.2763 0.2763
0.7274 0.2593 0.7491
0.7274 0.7491 0.2593
0.7488 0.7347 0.7347
```



Record 3
The following is a computed X-ray powder pattern of KTi3FeO8. It was derived from the PBE+U geometry in the Materials Project, using Cu Kα X-rays.
Lines closer than 0.1° are merged.

Main lines, sorted by position (2θ = 10–90°):
2theta  I/Imax
12.33  55
17.34  100
27.39  97
27.76  98
35.67  95
35.81  82
40.03  66
47.52  73
57.06  46
65.86  46

```
KTi3FeO8
1.0
7.1806 -1.5031 0.0000
7.1806 1.5031 0.0000
-7.1396 0.0000 7.2867
K Ti Fe O
1 3 1 8
Direct
0.0000 0.0000 0.0000
0.3319 0.3319 0.4842
0.6609 0.6609 0.5168
0.8416 0.8416 0.1735
0.1465 0.1465 0.8137
0.0394 0.0394 0.3745
0.2931 0.2931 0.6389
0.3315 0.3315 0.2922
0.3490 0.3490 0.0549
0.6557 0.6557 0.9599
0.6635 0.6635 0.7016
0.7025 0.7025 0.3589
0.9529 0.9529 0.6199
```



Record 4
The following is a computed X-ray powder pattern of LiLa4FeO8. It was derived from the PBE+U geometry in the Materials Project, using Cu Kα X-rays.
Lines closer than 0.1° are merged.

Main lines, sorted by position (2θ = 10–90°):
2theta  I/Imax
24.04  63
28.16  25
31.35  100
32.72  79
42.64  23
43.71  54
46.96  41
55.65  16
56.08  20
57.55  37

```
LiLa4FeO8
1.0
5.4728 0.0000 0.0000
0.0003 5.4736 0.0000
2.7353 0.0021 6.3373
Li La Fe O
1 4 1 8
Direct
0.0000 0.0000 0.0000
0.1349 0.5027 0.7264
0.3645 0.0002 0.2728
0.6390 0.9998 0.7239
0.8640 0.4980 0.2704
0.5007 0.4999 0.9986
0.1819 0.9940 0.6308
0.2487 0.7473 0.9990
0.2498 0.2531 0.9963
0.3292 0.4968 0.3481
0.6817 0.5024 0.6483
0.7513 0.7473 0.0005
0.7529 0.2524 0.9974
0.8150 0.0042 0.3653
```



Record 5
The following is a computed X-ray powder pattern of Li3La7Fe2O16. It was derived from the PBE+U geometry in the Materials Project, using Cu Kα X-rays.
Lines closer than 0.1° are merged.

Main lines, sorted by position (2θ = 10–90°):
2theta  I/Imax
24.43  49
27.91  20
31.54  100
33.26  36
33.42  35
43.96  23
44.08  24
47.86  38
58.35  18
58.56  18

```
Li3La7Fe2O16
1.0
5.3630 -5.3880 0.0000
5.3630 5.3880 0.0000
-2.6867 0.0000 6.3925
Li La Fe O
3 7 2 16
Direct
0.0000 0.0000 0.0000
0.3161 0.8210 0.2753
0.8210 0.3161 0.2753
0.0044 0.5026 0.0158
0.1389 0.1389 0.5633
0.1436 0.6469 0.5817
0.5017 0.5017 0.0106
0.5026 0.0044 0.0158
0.6469 0.1436 0.5817
0.6469 0.6469 0.5768
0.3197 0.3197 0.2896
0.8243 0.8243 0.2886
0.0673 0.8224 0.2979
0.0812 0.3266 0.2992
0.2489 0.2489 0.9440
0.2532 0.7153 0.9382
0.3251 0.5672 0.3004
0.3266 0.0812 0.2992
0.4094 0.4094 0.6380
0.4149 0.9128 0.6560
0.5672 0.3251 0.3004
0.5825 0.8244 0.2994
0.7153 0.2532 0.9382
0.7234 0.7234 0.9465
0.8224 0.0673 0.2979
0.8244 0.5825 0.2994
0.9112 0.9112 0.6489
0.9128 0.4149 0.6560
```



Record 6
The following is a computed X-ray powder pattern of LiLaFe4O12. It was derived from the PBE+U geometry in the Materials Project, using Cu Kα X-rays.
Lines closer than 0.1° are merged.

Main lines, sorted by position (2θ = 10–90°):
2theta  I/Imax
11.43  43
16.86  62
20.42  100
26.37  31
33.24  54
33.61  75
34.11  60
48.46  31
49.52  45
60.98  35

```
LiLaFe4O12
1.0
7.7401 0.0000 0.0000
0.0000 3.6797 3.7567
0.0000 -3.6797 3.7567
Li La Fe O
1 1 4 12
Direct
0.0000 0.0000 0.0000
0.5000 0.5113 0.5113
0.2323 0.5012 0.9976
0.2323 0.9976 0.5012
0.7677 0.5012 0.9976
0.7677 0.9976 0.5012
0.0000 0.6091 0.9390
0.0000 0.9390 0.6091
0.1830 0.2008 0.2008
0.2495 0.2883 0.7067
0.2495 0.7067 0.2883
0.3046 0.7786 0.7786
0.5000 0.0259 0.4577
0.5000 0.4577 0.0259
0.6954 0.7786 0.7786
0.7505 0.2883 0.7067
0.7505 0.7067 0.2883
0.8170 0.2008 0.2008
```



Record 7
The following is a computed X-ray powder pattern of LiLa2FeO6. It was derived from the PBE+U geometry in the Materials Project, using Cu Kα X-rays.
Lines closer than 0.1° are merged.

Main lines, sorted by position (2θ = 10–90°):
2theta  I/Imax
22.93  82
32.32  100
32.98  100
40.00  51
46.85  65
52.33  21
57.64  24
58.06  42
59.30  19
69.17  19

```
LiLa2FeO6
1.0
2.7698 1.5991 4.3937
-2.7698 1.5991 4.3937
0.0000 -3.1983 4.3937
Li La Fe O
1 2 1 6
Direct
0.0000 0.0000 0.0000
0.2496 0.2496 0.2496
0.7504 0.7504 0.7504
0.5000 0.5000 0.5000
0.2010 0.3216 0.7340
0.2660 0.7990 0.6784
0.3216 0.7340 0.2010
0.6784 0.2660 0.7990
0.7340 0.2010 0.3216
0.7990 0.6784 0.2660
```